Record 1
Starting from a crystal structure in Alexandria, relaxed with GGA-PBE, the X-ray diffraction stick pattern of Tb6InNi was computed for a wavelength of 1.5418 Å.

Largest 10 diffraction maxima, by angle, 15° ≤ 2θ ≤ 90°:
2θ (°), intensity, index
24.65, 14, 1 0 -2
25.48, 10, 1 1 -1
29.56, 100, 2 -1 0
29.66, 15, -2 1 2
29.81, 24, 0 0 2
39.55, 25, 1 1 1
39.68, 16, -2 1 3
44.88, 17, 3 0 -2
44.95, 9, -3 3 1
52.67, 11, 2 -1 2

Crystal structure
```
Tb6InNi
1.0
6.982 0.000 0.000
-3.487 6.065 0.000
-3.467 -2.015 5.998
Tb In Ni
6 1 1
Direct
0.050 0.080 0.259 Tb
0.289 0.709 0.259 Tb
0.319 0.529 0.741 Tb
0.681 0.471 0.259 Tb
0.711 0.291 0.741 Tb
0.950 0.920 0.741 Tb
0.500 0.000 0.000 In
0.500 0.500 0.500 Ni
```



Record 2
Starting from a crystal structure in Alexandria, relaxed with GGA-PBE, the X-ray diffraction stick pattern of CaDyPtAu was computed for a wavelength of 1.5418 Å.

Largest 10 diffraction maxima, by angle, 15° ≤ 2θ ≤ 90°:
2θ (°), intensity, index
16.00, 32, 0 0 2
24.42, 32, 0 1 1
31.84, 91, 1 1 1
32.32, 29, 0 0 4
38.36, 33, 1 0 4
39.46, 100, 1 1 3
40.88, 31, 2 0 0
47.09, 21, 0 2 0
64.09, 16, 2 2 0
73.48, 16, 3 1 3

Crystal structure
```
CaDyPtAu
1.0
4.415 0.000 0.000
0.000 3.859 0.000
0.000 0.000 11.079
Ca Dy Pt Au
2 2 2 2
Direct
0.000 0.000 0.000 Ca
0.000 0.500 0.500 Ca
0.500 0.000 0.280 Dy
0.500 0.500 0.780 Dy
0.000 0.000 0.733 Pt
0.000 0.500 0.233 Pt
0.500 0.000 0.560 Au
0.500 0.500 0.060 Au
```



Record 3
Starting from a crystal structure in Alexandria, relaxed with GGA-PBE, the X-ray diffraction stick pattern of NbGeAs was computed for a wavelength of 1.5418 Å.

Largest 10 diffraction maxima, by angle, 15° ≤ 2θ ≤ 90°:
2θ (°), intensity, index
36.89, 62, 1 1 2
37.21, 100, 1 2 1
43.36, 13, 2 2 0
48.02, 17, 1 0 3
48.66, 16, 0 3 1
48.81, 17, 3 0 1
70.39, 13, 0 2 4
71.36, 9, 2 4 0
74.96, 15, 2 3 3
83.45, 9, 4 3 1

Crystal structure
```
NbGeAs
1.0
5.893 0.000 0.000
0.000 5.912 0.000
0.000 0.000 6.002
Nb Ge As
4 4 4
Direct
0.000 0.250 0.126 Nb
0.000 0.750 0.374 Nb
0.500 0.250 0.874 Nb
0.500 0.750 0.626 Nb
0.133 0.500 0.750 Ge
0.367 0.500 0.250 Ge
0.633 0.000 0.250 Ge
0.867 0.000 0.750 Ge
0.250 0.104 0.500 As
0.250 0.896 0.000 As
0.750 0.396 0.500 As
0.750 0.604 0.000 As
```